1.
Computed powder diffraction line list
Compound: Dy2Zn5Cu3
Radiation: λ = 1.5418 Å (Cu Kα)
Structure: a GGA-PBE-relaxed structure

Atomic structure:
```
20
Lattice="2.1658 -11.8304 0.0000 2.1658 11.8304 0.0000 0.0000 0.0000 6.6661" Properties=species:S:1:pos:R:3 pbc="T T T"
Dy 2.1658 11.4163 3.3331
Dy 2.1658 4.1390 3.0024
Dy 2.1658 -4.1390 6.3355
Dy 2.1658 -11.4163 0.0000
Zn 2.1658 9.3229 1.1498
Zn 2.1658 7.0416 4.1481
Zn 2.1658 6.8065 1.5941
Zn 2.1658 2.9783 6.6192
Zn 2.1658 1.2339 2.0342
Zn 2.1658 -1.2339 5.3672
Zn 2.1658 -2.9783 3.2862
Zn 2.1658 -6.8065 4.9272
Zn 2.1658 -7.0416 0.8151
Zn 2.1658 -9.3229 4.4829
Cu 2.1658 9.3047 5.2081
Cu 2.1658 5.4711 6.1669
Cu 2.1658 1.2610 4.6909
Cu 2.1658 -1.2610 1.3579
Cu 2.1658 -5.4711 2.8339
Cu 2.1658 -9.3047 1.8750
```

Main lines, sorted by position (2θ = 10–80°):
2θ (°)	I (rel.)
35.26	23
35.85	100
36.31	73
40.12	31
40.45	24
41.70	46
43.50	20
55.72	15
59.50	16
70.30	18

2.
Computed powder diffraction line list
Compound: DyZn2Cu9
Radiation: λ = 1.5418 Å (Cu Kα)
Structure: a GGA-PBE-relaxed structure

Atomic structure:
```
24
Lattice="-5.0445 5.0445 3.2912 5.0445 -5.0445 3.2912 5.0445 5.0445 -3.2912" Properties=species:S:1:pos:R:3 pbc="T T T"
Dy 5.0445 2.5222 0.8228
Dy 0.0000 2.5222 2.4684
Zn 0.0000 0.0000 0.0000
Zn 2.5222 2.5222 -1.6456
Zn 2.5222 -2.5222 1.6456
Zn 0.0000 5.0445 0.0000
Cu 5.0445 -2.5222 2.4684
Cu 3.8113 -0.4295 1.1760
Cu 6.2776 -0.4295 1.1760
Cu 2.0928 1.2891 0.4695
Cu 7.9961 1.2891 0.4695
Cu 3.8113 4.6150 -1.1760
Cu 1.2331 -0.4295 2.1151
Cu 2.0928 3.7553 0.4695
Cu 2.9517 -1.2891 3.7607
Cu 2.0928 6.3336 -0.4695
Cu 2.9517 1.2891 2.8216
Cu 3.8113 5.4739 1.1760
Cu 1.2331 0.4295 4.4672
Cu -2.9517 3.7553 2.8216
Cu 2.9517 3.7553 2.8216
Cu -1.2331 5.4739 2.1151
Cu 1.2331 5.4739 2.1151
Cu 0.0000 7.5667 0.8228
```

Main lines, sorted by position (2θ = 10–80°):
2θ (°)	I (rel.)
29.88	20
34.84	40
39.33	100
39.96	69
42.15	32
45.30	14
47.11	41
48.95	28
60.43	18
72.16	27

3.
Computed powder diffraction line list
Compound: DyZn4Cu2
Radiation: λ = 1.5418 Å (Cu Kα)
Structure: a GGA-PBE-relaxed structure

Atomic structure:
```
7
Lattice="-2.5069 3.2882 3.3189 2.5069 -3.2882 3.3189 2.5069 3.2882 -3.3189" Properties=species:S:1:pos:R:3 pbc="T T T"
Dy 0.0000 0.0000 0.0000
Zn 2.5069 1.2765 -1.2797
Zn 2.5069 1.2765 1.2797
Zn 0.0000 2.0116 2.0392
Zn 0.0000 2.0116 4.5986
Cu 1.2498 3.2882 0.0000
Cu 1.2572 0.0000 3.3189
```

Main lines, sorted by position (2θ = 10–80°):
2θ (°)	I (rel.)
22.26	14
35.18	65
35.33	67
35.82	27
38.54	100
40.85	88
44.77	52
45.14	49
64.00	23
71.29	38

4.
Computed powder diffraction line list
Compound: Er5Cu6
Radiation: λ = 1.5418 Å (Cu Kα)
Structure: a GGA-PBE-relaxed structure

Atomic structure:
```
11
Lattice="7.4519 -3.5027 0.0000 7.4519 3.5027 0.0000 -1.4396 0.0000 4.5303" Properties=species:S:1:pos:R:3 pbc="T T T"
Er 0.0000 0.0000 0.0000
Er 1.6502 0.0000 3.0633
Er 4.8460 0.0000 1.5850
Er 8.6182 0.0000 2.9453
Er 11.8139 0.0000 1.4670
Cu 3.5781 1.9569 3.7028
Cu 6.7321 2.0735 2.2651
Cu 9.8860 1.9569 0.8275
Cu 3.5781 -1.9569 3.7028
Cu 6.7321 -2.0735 2.2651
Cu 9.8860 -1.9569 0.8275
```

Main lines, sorted by position (2θ = 10–80°):
2θ (°)	I (rel.)
14.10	21
25.43	20
34.06	31
36.94	100
37.28	95
37.86	54
38.01	37
52.24	27
66.30	16
67.55	17